This entry pairs a crystal structure of Ge5Ir4 with its simulated XRD peak list. Radiation: copper Kα. Structure: a crystal structure in Alexandria, relaxed with PBE.
No peak broadening, texture or thermal motion is included.

Principal peaks in the range 10 to 90 degrees two-theta, by angle:
- 24.77°, I = 77
- 31.44°, I = 36
- 32.84°, I = 22
- 35.61°, I = 13
- 40.43°, I = 100
- 45.10°, I = 90
- 52.09°, I = 36
- 65.67°, I = 31
- 74.58°, I = 16
- 83.21°, I = 14

abc: 5.6907 5.6907 18.5469
angles: 90.00 90.00 90.00
Space group P-4c2 (No. 116)
One atom of each set of equivalent atoms:
Ge1 0.1452 0.2257 0.1451 [8 per cell]
Ge2 0.1966 0.3419 0.9447 [8 per cell]
Ge3 0.3222 0.3222 0.7500 [4 per cell]
Ir1 0.0000 0.0000 0.0000 [2 per cell]
Ir2 0.0000 0.0000 0.2500 [2 per cell]
Ir3 0.0000 0.5000 0.0558 [4 per cell]
Ir4 0.0000 0.5000 0.3232 [4 per cell]
Ir5 0.5000 0.5000 0.1358 [4 per cell]


This entry pairs a crystal structure of KGe2Ir2 with its simulated XRD peak list. Radiation: copper Kα. Structure: a crystal structure in Alexandria, relaxed with PBE.
No peak broadening, texture or thermal motion is included.

Principal peaks in the range 10 to 90 degrees two-theta, by angle:
- 22.03°, I = 100
- 28.78°, I = 38
- 33.20°, I = 73
- 33.76°, I = 24
- 41.15°, I = 66
- 45.88°, I = 72
- 47.16°, I = 29
- 53.86°, I = 37
- 59.61°, I = 22
- 78.34°, I = 30

abc: 4.3872 4.3872 10.2687
angles: 90.00 90.00 90.00
Space group I4/mmm (No. 139)
One atom of each set of equivalent atoms:
K1 0.0000 0.0000 0.0000 [2 per cell]
Ge1 0.0000 0.5000 0.2500 [4 per cell]
Ir1 0.0000 0.0000 0.3736 [4 per cell]


This entry pairs a crystal structure of La2Ge3Ir with its simulated XRD peak list. Radiation: copper Kα. Structure: a crystal structure in Alexandria, relaxed with PBE.
No peak broadening, texture or thermal motion is included.

Principal peaks in the range 10 to 90 degrees two-theta, by angle:
- 23.09°, I = 7
- 31.66°, I = 100
- 41.71°, I = 16
- 41.83°, I = 16
- 42.02°, I = 32
- 53.42°, I = 16
- 53.64°, I = 7
- 60.55°, I = 11
- 60.70°, I = 22
- 69.86°, I = 10

abc: 8.6388 8.6627 14.8755
angles: 90.00 90.00 90.00
Space group Fmmm (No. 69)
One atom of each set of equivalent atoms:
La1 0.0000 0.2440 0.0000 [8 per cell]
La2 0.2500 0.2500 0.2500 [8 per cell]
Ge1 0.0000 0.0000 0.3304 [8 per cell]
Ge2 0.2490 0.0000 0.0847 [16 per cell]
Ir1 0.0000 0.0000 0.1651 [8 per cell]


This entry pairs a crystal structure of La4GeIr2 with its simulated XRD peak list. Radiation: copper Kα. Structure: a crystal structure in Alexandria, relaxed with PBE.
No peak broadening, texture or thermal motion is included.

Principal peaks in the range 10 to 90 degrees two-theta, by angle:
- 13.77°, I = 25
- 30.55°, I = 100
- 30.66°, I = 71
- 31.53°, I = 70
- 36.42°, I = 54
- 36.70°, I = 23
- 37.17°, I = 50
- 44.07°, I = 22
- 46.70°, I = 25
- 51.43°, I = 32

abc: 9.2532 9.2532 8.9441
angles: 90.00 90.00 90.00
Space group I-42d (No. 122)
One atom of each set of equivalent atoms:
La1 0.0587 0.1844 0.3216 [16 per cell]
Ge1 0.0000 0.0000 0.0000 [4 per cell]
Ir1 0.1178 0.2500 0.6250 [8 per cell]


This entry pairs a crystal structure of LaGe3Ir5 with its simulated XRD peak list. Radiation: copper Kα. Structure: a crystal structure in Alexandria, relaxed with PBE.
No peak broadening, texture or thermal motion is included.

Principal peaks in the range 10 to 90 degrees two-theta, by angle:
- 14.18°, I = 49
- 15.58°, I = 54
- 30.46°, I = 39
- 31.61°, I = 95
- 37.03°, I = 100
- 41.80°, I = 73
- 43.12°, I = 54
- 44.36°, I = 48
- 44.76°, I = 79
- 45.85°, I = 44

abc: 4.0497 12.7767 12.4901
angles: 90.00 90.00 90.00
Space group Cmcm (No. 63)
One atom of each set of equivalent atoms:
La1 0.0000 0.1705 0.2500 [4 per cell]
Ge1 0.0000 0.1148 0.7500 [4 per cell]
Ge2 0.0000 0.3851 0.5487 [8 per cell]
Ir1 0.0000 0.0000 0.0000 [4 per cell]
Ir2 0.0000 0.2013 0.5709 [8 per cell]
Ir3 0.0000 0.4426 0.1438 [8 per cell]


This entry pairs a crystal structure of La2Ge4Ir3 with its simulated XRD peak list. Radiation: copper Kα. Structure: a crystal structure in Alexandria, relaxed with PBE.
No peak broadening, texture or thermal motion is included.

Principal peaks in the range 10 to 90 degrees two-theta, by angle:
- 14.03°, I = 100
- 27.84°, I = 29
- 35.93°, I = 28
- 36.35°, I = 50
- 37.90°, I = 93
- 38.75°, I = 32
- 39.15°, I = 65
- 42.81°, I = 32
- 42.99°, I = 27
- 64.86°, I = 26

abc: 5.6860 9.9984 12.6243
angles: 90.00 90.00 90.00
Space group Fmmm (No. 69)
One atom of each set of equivalent atoms:
La1 0.0000 0.0000 0.1310 [8 per cell]
Ge1 0.0000 0.1697 0.3453 [16 per cell]
Ir1 0.0000 0.0000 0.5000 [4 per cell]
Ir2 0.2500 0.2500 0.0000 [8 per cell]


This entry pairs a crystal structure of La2Ge3Ir3 with its simulated XRD peak list. Radiation: copper Kα. Structure: a crystal structure in Alexandria, relaxed with PBE.
No peak broadening, texture or thermal motion is included.

Principal peaks in the range 10 to 90 degrees two-theta, by angle:
- 12.70°, I = 33
- 31.10°, I = 100
- 33.72°, I = 13
- 34.30°, I = 31
- 44.56°, I = 37
- 46.97°, I = 51
- 57.41°, I = 28
- 73.67°, I = 17
- 75.46°, I = 13
- 83.84°, I = 19

abc: 2.8755 2.8755 20.9159
angles: 90.00 90.00 90.00
Space group P4/mmm (No. 123)
One atom of each set of equivalent atoms:
La1 0.0000 0.0000 0.2379 [2 per cell]
Ge1 0.0000 0.0000 0.0000 [1 per cell]
Ge2 0.0000 0.0000 0.3857 [2 per cell]
Ir1 0.0000 0.0000 0.1156 [2 per cell]
Ir2 0.0000 0.0000 0.5000 [1 per cell]


This entry pairs a crystal structure of LaNdGeIr with its simulated XRD peak list. Radiation: copper Kα. Structure: a crystal structure in Alexandria, relaxed with PBE.
No peak broadening, texture or thermal motion is included.

Principal peaks in the range 10 to 90 degrees two-theta, by angle:
- 15.94°, I = 18
- 30.86°, I = 100
- 31.84°, I = 35
- 32.21°, I = 24
- 38.60°, I = 71
- 38.91°, I = 27
- 41.91°, I = 26
- 43.28°, I = 24
- 58.51°, I = 17
- 61.82°, I = 17

abc: 4.1813 4.3111 11.1175
angles: 90.00 90.00 90.00
Space group Amm2 (No. 38)
One atom of each set of equivalent atoms:
La1 0.0000 0.0000 0.0000 [2 per cell]
Nd1 0.5000 0.0000 0.7208 [2 per cell]
Ge1 0.0000 0.0000 0.2927 [2 per cell]
Ir1 0.5000 0.0000 0.4405 [2 per cell]


This entry pairs a crystal structure of La2Ge3Ir4Rh with its simulated XRD peak list. Radiation: copper Kα. Structure: a crystal structure in Alexandria, relaxed with PBE.
No peak broadening, texture or thermal motion is included.

Principal peaks in the range 10 to 90 degrees two-theta, by angle:
- 30.88°, I = 19
- 33.16°, I = 47
- 34.33°, I = 100
- 42.43°, I = 65
- 45.91°, I = 39
- 48.40°, I = 26
- 54.88°, I = 23
- 61.56°, I = 22
- 66.29°, I = 20
- 72.41°, I = 24

abc: 4.2611 4.2611 10.4802
angles: 90.00 90.00 90.00
Space group P-4m2 (No. 115)
One atom of each set of equivalent atoms:
La1 0.0000 0.5000 0.2503 [2 per cell]
Ge1 0.0000 0.0000 0.0000 [1 per cell]
Ge2 0.0000 0.5000 0.6287 [2 per cell]
Ir1 0.0000 0.0000 0.5000 [1 per cell]
Ir2 0.0000 0.5000 0.8647 [2 per cell]
Ir3 0.5000 0.5000 0.5000 [1 per cell]
Rh1 0.5000 0.5000 0.0000 [1 per cell]


This entry pairs a crystal structure of LaTmGe4Ir2 with its simulated XRD peak list. Radiation: copper Kα. Structure: a crystal structure in Alexandria, relaxed with PBE.
No peak broadening, texture or thermal motion is included.

Principal peaks in the range 10 to 90 degrees two-theta, by angle:
- 10.82°, I = 25
- 33.15°, I = 100
- 34.34°, I = 57
- 38.28°, I = 17
- 38.70°, I = 32
- 40.38°, I = 21
- 41.66°, I = 38
- 48.79°, I = 26
- 58.16°, I = 19
- 68.85°, I = 18

abc: 4.3358 8.9350 16.3528
angles: 90.00 90.00 90.00
Space group Immm (No. 71)
One atom of each set of equivalent atoms:
La1 0.0000 0.2362 0.0000 [4 per cell]
Tm1 0.0000 0.0000 0.2063 [4 per cell]
Ge1 0.0000 0.0000 0.4210 [4 per cell]
Ge2 0.0000 0.3485 0.2026 [8 per cell]
Ge3 0.0000 0.5000 0.4200 [4 per cell]
Ir1 0.0000 0.2476 0.3514 [8 per cell]